For CeAl3Br12, a cell relaxed with PBE gives the computed powder X-ray diffraction pattern in this record (Cu Kα (λ = 1.5418 Å)).
Lines closer than 0.1° are merged.

Atomic structure:
```
CeAl3Br12
1.0
11.041 0.000 0.000
-5.521 9.562 0.000
0.000 0.000 18.948
Ce Al Br
3 9 36
Cartesian
-4.114 7.126 3.158 Ce
1.406 2.436 9.474 Ce
8.228 0.000 15.790 Ce
-0.446 0.773 12.632 Al
0.892 0.000 6.316 Al
-0.391 6.242 4.325 Al
0.311 6.103 10.641 Al
0.080 6.780 16.956 Al
5.130 3.320 8.307 Al
5.601 2.782 14.623 Al
5.831 3.459 1.991 Al
5.074 8.789 0.000 Al
-0.796 2.073 14.542 Br
-0.416 1.817 6.937 Br
-2.538 5.845 5.353 Br
-3.739 9.014 0.621 Br
-2.084 6.977 16.295 Br
-3.328 9.215 8.226 Br
1.782 0.548 12.011 Br
-1.480 6.522 11.967 Br
2.193 0.347 4.406 Br
-0.351 4.806 8.743 Br
0.520 4.268 3.663 Br
-1.183 7.464 2.427 Br
0.613 5.019 18.282 Br
1.728 4.441 11.668 Br
3.436 2.585 15.284 Br
2.982 3.717 7.279 Br
0.868 7.583 5.651 Br
1.535 6.855 15.059 Br
4.337 2.098 10.205 Br
4.040 3.040 0.665 Br
0.810 8.838 17.984 Br
1.564 7.878 9.979 Br
6.331 0.724 13.595 Br
6.388 1.979 6.981 Br
5.169 4.756 3.889 Br
7.085 1.684 2.652 Br
7.055 2.707 16.521 Br
4.123 7.837 1.910 Br
6.133 4.543 13.297 Br
4.155 8.293 13.253 Br
4.725 7.489 17.038 Br
6.041 5.294 8.968 Br
5.105 7.745 5.695 Br
7.249 5.121 0.963 Br
9.675 1.269 18.327 Br
9.644 1.725 10.722 Br
```

Top 6 peaks for 10° ≤ 2θ ≤ 80°, in order of falling intensity:
2theta, I_rel, (hkl)
10.36, 1000, 0 1 1
26.44, 485, 2 0 4
28.45, 484, 1 2 3
16.78, 301, 1 0 3
33.82, 296, 2 2 2
25.08, 270, 1 2 1

For Pr3SmPb5, a cell relaxed with PBE gives the computed powder X-ray diffraction pattern in this record (Cu Kα (λ = 1.5418 Å)).
Lines closer than 0.1° are merged.

Atomic structure:
```
Pr3SmPb5
1.0
9.813 0.000 0.000
-4.906 8.498 0.000
0.000 0.000 6.674
Pr Sm Pb
6 2 10
Cartesian
-1.866 3.232 1.668 Pr
-3.040 5.266 5.005 Pr
3.732 0.000 1.668 Pr
1.866 3.232 5.005 Pr
6.080 0.000 5.005 Pr
3.040 5.266 1.668 Pr
0.000 0.000 0.000 Sm
0.000 0.000 3.337 Sm
-1.407 2.437 5.005 Pb
-3.499 6.061 1.668 Pb
2.814 0.000 5.005 Pb
1.407 2.437 1.668 Pb
0.000 5.665 0.000 Pb
0.000 5.665 3.337 Pb
4.906 2.833 0.000 Pb
4.906 2.833 3.337 Pb
6.999 0.000 1.668 Pb
3.499 6.061 5.005 Pb
```

Top 6 peaks for 10° ≤ 2θ ≤ 80°, in order of falling intensity:
2theta, I_rel, (hkl)
32.45, 1000, 1 1 2
31.59, 910, 3 0 0
30.90, 375, 2 1 1
45.91, 310, 2 2 2
56.80, 248, 4 1 2
64.86, 238, 3 0 4

For Ac2La2Sn2Ir, a cell relaxed with PBE gives the computed powder X-ray diffraction pattern in this record (Cu Kα (λ = 1.5418 Å)).
Lines closer than 0.1° are merged.

Atomic structure:
```
Ac2La2Sn2Ir
1.0
5.386 0.000 0.000
0.000 5.386 0.000
0.000 0.000 17.780
Ac La Sn Ir
4 4 4 2
Cartesian
0.000 0.000 3.153 Ac
0.000 0.000 14.627 Ac
2.693 2.693 5.737 Ac
2.693 2.693 12.043 Ac
0.000 2.693 0.000 La
0.000 2.693 8.890 La
2.693 0.000 0.000 La
2.693 0.000 8.890 La
0.000 0.000 6.521 Sn
0.000 0.000 11.259 Sn
2.693 2.693 2.369 Sn
2.693 2.693 15.411 Sn
0.000 0.000 0.000 Ir
2.693 2.693 8.890 Ir
```

Top 6 peaks for 10° ≤ 2θ ≤ 80°, in order of falling intensity:
2theta, I_rel, (hkl)
30.13, 1000, 0 0 6
45.50, 887, 2 0 6
33.27, 798, 2 0 0
23.36, 522, 1 1 0
25.44, 347, 1 1 2
57.52, 339, 2 2 6